1.
Starting from DFT lattice parameters and positions (GGA-PBE), the PXRD pattern of MnOsN2 was simulated for Cu Kα X-rays.
Intensities are scaled so that the largest is 100.

Largest 10 diffraction maxima, in order of falling intensity, 10° ≤ 2θ ≤ 80°:
- 22.1 deg, I = 100
- 37.4 deg, I = 99
- 34.5 deg, I = 56
- 38.9 deg, I = 45
- 63.7 deg, I = 39
- 33.0 deg, I = 29
- 41.5 deg, I = 27
- 46.2 deg, I = 22
- 34.7 deg, I = 20
- 58.9 deg, I = 19

Structural model:
Cell: 5.173 6.368 5.204 Å, 90.00 90.00 90.00°
Element x y z (fractional)
1 Mn 0.129 0.117 0.000
2 Mn 0.371 0.617 0.500
3 Mn 0.629 0.383 0.000
4 Mn 0.871 0.883 0.500
5 Os 0.064 0.661 0.008
6 Os 0.436 0.161 0.508
7 Os 0.564 0.839 0.008
8 Os 0.936 0.339 0.508
9 N 0.036 0.632 0.388
10 N 0.085 0.084 0.354
11 N 0.415 0.584 0.854
12 N 0.464 0.132 0.888
13 N 0.536 0.868 0.388
14 N 0.585 0.416 0.354
15 N 0.915 0.916 0.854
16 N 0.964 0.368 0.888



2.
Starting from DFT lattice parameters and positions (GGA-PBE), the PXRD pattern of Rb3Pm was simulated for Cu Kα X-rays.
Intensities are scaled so that the largest is 100.

Largest 10 diffraction maxima, in order of falling intensity, 10° ≤ 2θ ≤ 80°:
- 24.1 deg, I = 100
- 29.0 deg, I = 31
- 48.6 deg, I = 30
- 39.0 deg, I = 28
- 25.4 deg, I = 22
- 44.0 deg, I = 20
- 49.3 deg, I = 14
- 62.1 deg, I = 14
- 41.5 deg, I = 12
- 74.0 deg, I = 8

Structural model:
Cell: 6.153 6.153 14.010 Å, 90.00 90.00 90.00°
Element x y z (fractional)
1 Rb 0.000 0.000 0.000
2 Rb 0.000 0.500 0.250
3 Rb 0.000 0.500 0.750
4 Rb 0.500 0.000 0.250
5 Rb 0.500 0.000 0.750
6 Rb 0.500 0.500 0.500
7 Pm 0.000 0.000 0.500
8 Pm 0.500 0.500 0.000



3.
Starting from DFT lattice parameters and positions (GGA-PBE), the PXRD pattern of Hf5Te4 was simulated for Cu Kα X-rays.
Intensities are scaled so that the largest is 100.

Largest 10 diffraction maxima, in order of falling intensity, 10° ≤ 2θ ≤ 80°:
- 34.4 deg, I = 100
- 37.3 deg, I = 37
- 11.6 deg, I = 35
- 42.0 deg, I = 33
- 30.0 deg, I = 30
- 35.4 deg, I = 30
- 68.1 deg, I = 19
- 62.4 deg, I = 17
- 48.1 deg, I = 16
- 38.4 deg, I = 14

Structural model:
Cell: 7.846 7.846 7.846 Å, 93.33 93.33 152.10°
Element x y z (fractional)
1 Hf 0.000 0.000 0.000
2 Hf 0.311 0.631 0.942
3 Hf 0.369 0.311 0.679
4 Hf 0.631 0.689 0.321
5 Hf 0.689 0.369 0.058
6 Te 0.052 0.714 0.766
7 Te 0.286 0.052 0.337
8 Te 0.714 0.948 0.663
9 Te 0.948 0.286 0.234



4.
Starting from DFT lattice parameters and positions (GGA-PBE), the PXRD pattern of SnTe2Pd6 was simulated for Cu Kα X-rays.
Intensities are scaled so that the largest is 100.

Largest 10 diffraction maxima, in order of falling intensity, 10° ≤ 2θ ≤ 80°:
- 40.5 deg, I = 100
- 35.5 deg, I = 52
- 44.3 deg, I = 51
- 79.0 deg, I = 28
- 63.6 deg, I = 22
- 43.1 deg, I = 17
- 64.5 deg, I = 16
- 25.2 deg, I = 13
- 75.8 deg, I = 11
- 22.2 deg, I = 9

Structural model:
Cell: 10.884 10.884 10.884 Å, 158.37 158.37 30.78°
Element x y z (fractional)
1 Sn 0.000 0.000 0.000
2 Te 0.318 0.318 0.000
3 Te 0.677 0.677 0.000
4 Pd 0.096 0.596 0.500
5 Pd 0.407 0.907 0.500
6 Pd 0.501 0.501 0.000
7 Pd 0.596 0.096 0.500
8 Pd 0.802 0.802 0.000
9 Pd 0.907 0.407 0.500



5.
Starting from DFT lattice parameters and positions (GGA-PBE), the PXRD pattern of LiNb2Te4Cl10O was simulated for Cu Kα X-rays.
Intensities are scaled so that the largest is 100.

Largest 10 diffraction maxima, in order of falling intensity, 10° ≤ 2θ ≤ 80°:
- 15.7 deg, I = 100
- 29.9 deg, I = 69
- 20.2 deg, I = 40
- 14.8 deg, I = 37
- 40.0 deg, I = 36
- 20.4 deg, I = 32
- 34.2 deg, I = 28
- 25.3 deg, I = 27
- 14.3 deg, I = 27
- 22.4 deg, I = 27

Structural model:
Cell: 7.058 8.891 9.523 Å, 96.42 90.96 105.70°
Element x y z (fractional)
1 Li 0.000 0.000 0.000
2 Nb 0.619 0.165 0.960
3 Nb 0.646 0.879 0.231
4 Te 0.075 0.706 0.601
5 Te 0.230 0.318 0.562
6 Te 0.346 0.595 0.739
7 Te 0.961 0.429 0.422
8 Cl 0.287 0.987 0.866
9 Cl 0.338 0.712 0.158
10 Cl 0.456 0.307 0.112
11 Cl 0.537 0.035 0.409
12 Cl 0.601 0.328 0.771
13 Cl 0.700 0.706 0.398
14 Cl 0.764 0.005 0.793
15 Cl 0.809 0.743 0.054
16 Cl 0.938 0.324 0.033
17 Cl 0.992 0.053 0.286
18 O 0.630 0.022 0.093



6.
Starting from DFT lattice parameters and positions (GGA-PBE), the PXRD pattern of NdSnPt was simulated for Cu Kα X-rays.
Intensities are scaled so that the largest is 100.

Largest 10 diffraction maxima, in order of falling intensity, 10° ≤ 2θ ≤ 80°:
- 34.6 deg, I = 100
- 31.8 deg, I = 73
- 40.9 deg, I = 43
- 42.1 deg, I = 42
- 65.4 deg, I = 33
- 35.9 deg, I = 33
- 43.6 deg, I = 28
- 61.3 deg, I = 26
- 57.7 deg, I = 17
- 23.3 deg, I = 16

Structural model:
Cell: 7.649 7.649 4.152 Å, 90.00 90.00 120.00°
Element x y z (fractional)
1 Nd 0.000 0.410 0.000
2 Nd 0.410 0.000 0.000
3 Nd 0.590 0.590 0.000
4 Sn 0.000 0.747 0.500
5 Sn 0.253 0.253 0.500
6 Sn 0.747 0.000 0.500
7 Pt 0.000 0.000 0.000
8 Pt 0.333 0.667 0.500
9 Pt 0.667 0.333 0.500



7.
Starting from DFT lattice parameters and positions (GGA-PBE), the PXRD pattern of HfInPd2 was simulated for Cu Kα X-rays.
Intensities are scaled so that the largest is 100.

Largest 10 diffraction maxima, in order of falling intensity, 10° ≤ 2θ ≤ 80°:
- 38.4 deg, I = 100
- 37.5 deg, I = 56
- 68.3 deg, I = 36
- 54.1 deg, I = 19
- 70.1 deg, I = 15
- 13.7 deg, I = 10
- 56.8 deg, I = 7
- 50.0 deg, I = 5
- 40.1 deg, I = 3
- 26.3 deg, I = 3

Structural model:
Cell: 3.391 3.391 6.485 Å, 90.00 90.00 90.00°
Element x y z (fractional)
1 Hf 0.000 0.000 0.000
2 In 0.000 0.000 0.500
3 Pd 0.500 0.500 0.226
4 Pd 0.500 0.500 0.774



8.
Starting from DFT lattice parameters and positions (GGA-PBE), the PXRD pattern of CsSO2F was simulated for Cu Kα X-rays.
Intensities are scaled so that the largest is 100.

Largest 10 diffraction maxima, in order of falling intensity, 10° ≤ 2θ ≤ 80°:
- 25.3 deg, I = 100
- 27.7 deg, I = 72
- 24.4 deg, I = 59
- 26.3 deg, I = 43
- 36.1 deg, I = 37
- 20.2 deg, I = 25
- 41.9 deg, I = 22
- 36.0 deg, I = 21
- 34.5 deg, I = 18
- 51.8 deg, I = 17

Structural model:
Cell: 8.236 6.781 8.151 Å, 90.00 90.00 90.00°
Element x y z (fractional)
1 Cs 0.145 0.250 0.116
2 Cs 0.355 0.750 0.616
3 Cs 0.645 0.250 0.384
4 Cs 0.855 0.750 0.884
5 S 0.066 0.250 0.637
6 S 0.434 0.750 0.137
7 S 0.566 0.250 0.863
8 S 0.934 0.750 0.363
9 O 0.096 0.069 0.734
10 O 0.096 0.431 0.734
11 O 0.404 0.569 0.234
12 O 0.404 0.931 0.234
13 O 0.596 0.069 0.766
14 O 0.596 0.431 0.766
15 O 0.904 0.569 0.266
16 O 0.904 0.931 0.266
17 F 0.245 0.250 0.509
18 F 0.255 0.750 0.009
19 F 0.745 0.250 0.991
20 F 0.755 0.750 0.491